TaTl3F8: calculated powder diffractogram (Cu Kα (λ = 1.5418 Å)), based on a structure optimized by DFT (GGA-PBE).

Structural model:
```
data_TaTl3F8
_cell_length_a 8.4441
_cell_length_b 8.4441
_cell_length_c 7.7575
_cell_angle_alpha 90.00
_cell_angle_beta 90.00
_cell_angle_gamma 120.00
_space_group_name_H-M_alt 'P 1'
_space_group_IT_number 1
_space_group_name_Hall 'P 1'
loop_
_atom_site_label
_atom_site_type_symbol
_atom_site_fract_x
_atom_site_fract_y
_atom_site_fract_z
Ta1 Ta 0.3333 0.6667 0.0000
Ta2 Ta 0.6667 0.3333 0.5000
Tl1 Tl 0.1583 0.3165 0.5144
Tl2 Tl 0.1583 0.8417 0.5144
Tl3 Tl 0.3165 0.1583 0.0144
Tl4 Tl 0.6835 0.8417 0.5144
Tl5 Tl 0.8417 0.1583 0.0144
Tl6 Tl 0.8417 0.6835 0.0144
F1 F 0.0000 0.0000 0.3126
F2 F 0.0000 0.0000 0.8126
F3 F 0.1164 0.5582 0.8591
F4 F 0.2240 0.4480 0.1397
F5 F 0.2240 0.7760 0.1397
F6 F 0.3333 0.6667 0.4973
F7 F 0.4418 0.5582 0.8591
F8 F 0.4418 0.8836 0.8591
F9 F 0.4480 0.2240 0.6397
F10 F 0.5520 0.7760 0.1397
F11 F 0.5582 0.1164 0.3591
F12 F 0.5582 0.4418 0.3591
F13 F 0.6667 0.3333 0.9973
F14 F 0.7760 0.2240 0.6397
F15 F 0.7760 0.5520 0.6397
F16 F 0.8836 0.4418 0.3591
```

The 10 most intense peaks (10 to 80 degrees two-theta), by angle:
2θ (°)	I/Imax
22.9	35
24.3	21
27.0	100
33.7	25
42.8	54
49.1	28
51.3	16
65.3	22
69.0	15
78.5	13

---

Nd4Ho10Th: calculated powder diffractogram (Cu Kα (λ = 1.5418 Å)), based on a structure optimized by DFT (GGA-PBE).

Structural model:
```
data_Nd4Ho10Th
_cell_length_a 8.9080
_cell_length_b 8.9080
_cell_length_c 8.9080
_cell_angle_alpha 101.84
_cell_angle_beta 101.84
_cell_angle_gamma 126.12
_space_group_name_H-M_alt 'P 1'
_space_group_IT_number 1
_space_group_name_Hall 'P 1'
loop_
_atom_site_label
_atom_site_type_symbol
_atom_site_fract_x
_atom_site_fract_y
_atom_site_fract_z
Nd1 Nd 0.2250 0.2250 0.4501
Nd2 Nd 0.2250 0.7750 0.0000
Nd3 Nd 0.7750 0.2250 0.0000
Nd4 Nd 0.7750 0.7750 0.5499
Ho1 Ho 0.0898 0.2961 0.7937
Ho2 Ho 0.2500 0.7500 0.5000
Ho3 Ho 0.2961 0.0898 0.7937
Ho4 Ho 0.2961 0.5024 0.2063
Ho5 Ho 0.4976 0.7039 0.7937
Ho6 Ho 0.5024 0.2961 0.2063
Ho7 Ho 0.7039 0.4976 0.7937
Ho8 Ho 0.7039 0.9102 0.2063
Ho9 Ho 0.7500 0.2500 0.5000
Ho10 Ho 0.9102 0.7039 0.2063
Th1 Th 0.0000 0.0000 0.0000
```

The 10 most intense peaks (10 to 80 degrees two-theta), by angle:
2θ (°)	I/Imax
27.2	42
30.8	67
31.6	97
31.9	100
33.6	52
34.3	38
40.8	57
53.1	33
65.1	30
67.6	34